The following is a calculated powder diffraction line list of Mn5FeW. It was derived from a structure optimized by DFT (PBE), using λ = 1.5418 Å (Cu Kα).
Intensities are scaled so that the largest is 100.

Cell and atoms:
abc: 7.585 4.562 9.533
angles: 90.00 90.00 90.00
Space group Pnma (No. 62)
One atom of each set of equivalent atoms:
Mn: 0.052 0.250 0.076 x4
Mn: 0.075 0.513 0.307 x8
Mn: 0.092 0.750 0.524 x4
Mn: 0.187 0.750 0.757 x4
Fe: 0.134 0.250 0.848 x4
W: 0.245 0.750 0.063 x4

The 10 most intense peaks (5° ≤ 2θ ≤ 70°), by angle:
hkl 1 1 1, 24.61°, 3.617 Å, intensity 44; hkl 0 1 3, 34.39°, 2.607 Å, intensity 26; hkl 0 2 0, 39.51°, 2.281 Å, intensity 32; hkl 1 0 4, 39.64°, 2.274 Å, intensity 65; hkl 3 0 2, 40.38°, 2.234 Å, intensity 22; hkl 3 1 1, 41.94°, 2.154 Å, intensity 100; hkl 2 1 3, 42.05°, 2.149 Å, intensity 85; hkl 0 2 2, 44.01°, 2.057 Å, intensity 26; hkl 2 2 0, 46.46°, 1.955 Å, intensity 23; hkl 2 2 1, 47.48°, 1.915 Å, intensity 21